Starting from a structure optimized by DFT (PBE), the X-ray diffraction stick pattern of Ce2AlZn2Ni5 was simulated for Cu Kα X-rays.
Intensities are scaled so that the largest is 100.

Principal peaks in the range 2θ from 10° to 80°, sorted by position:
d/Å  2θ/deg  I_rel
2.647  33.86  26
2.558  35.08  22
2.411  37.29  68
2.343  38.41  56
2.337  38.53  18
2.217  40.69  100
2.068  43.77  32
1.946  46.68  24
1.405  66.55  20
1.312  71.97  19

Crystal structure
abc: 9.942 9.942 3.128
angles: 90.00 90.00 90.00
Fractional positions:
Ce1 0.174 0.326 0.000
Ce2 0.326 0.826 0.000
Ce3 0.674 0.174 0.000
Ce4 0.826 0.674 0.000
Al1 0.000 0.000 0.000
Al2 0.500 0.500 0.000
Zn1 0.127 0.627 0.000
Zn2 0.373 0.127 0.000
Zn3 0.627 0.873 0.000
Zn4 0.873 0.373 0.000
Ni1 0.000 0.500 0.500
Ni2 0.052 0.809 0.500
Ni3 0.191 0.052 0.500
Ni4 0.309 0.552 0.500
Ni5 0.448 0.309 0.500
Ni6 0.500 0.000 0.500
Ni7 0.552 0.691 0.500
Ni8 0.691 0.448 0.500
Ni9 0.809 0.948 0.500
Ni10 0.948 0.191 0.500